Theoretical powder X-ray diffraction pattern of Li9Mn7O16 for λ = 1.5418 Å (Cu Kα), from a crystal structure in Alexandria, relaxed with GGA+U.
Neutral-atom scattering factors, no anomalous dispersion.

Main lines, sorted by position (2θ = 5–70°):
two_theta  Rel. int.  h k l
18.30  100.0  4 0 0
34.36  18.8  2 0 -4
36.12  23.1  1 1 2
41.52  32.1  6 0 -4
43.97  55.0  5 1 2
47.12  9.8  7 1 -2
61.86  15.5  1 1 -6
62.28  15.7  11 1 -2

Crystal structure
a = 19.5617 Å, b = 2.8880 Å, c = 10.5402 Å
α = 90.00°, β = 97.48°, γ = 90.00°
Space group C2/m (No. 12)
Inequivalent atoms, fractional coordinates:
Li1 0.0000 0.0000 0.0000 [2 per cell]
Li2 0.1205 0.5000 0.9495 [4 per cell]
Li3 0.1210 0.0000 0.1877 [4 per cell]
Li4 0.1232 0.0000 0.6929 [4 per cell]
Li5 0.1263 0.5000 0.4405 [4 per cell]
Mn1 0.0000 0.0000 0.5000 [2 per cell]
Mn2 0.0015 0.5000 0.2444 [4 per cell]
Mn3 0.2486 0.5000 0.6248 [4 per cell]
Mn4 0.2503 0.0000 0.8750 [4 per cell]
O1 0.0532 0.5000 0.5955 [4 per cell]
O2 0.0541 0.0000 0.3447 [4 per cell]
O3 0.0558 0.0000 0.8317 [4 per cell]
O4 0.0566 0.5000 0.1165 [4 per cell]
O5 0.1894 0.0000 0.5453 [4 per cell]
O6 0.1902 0.0000 0.0458 [4 per cell]
O7 0.1911 0.5000 0.7968 [4 per cell]
O8 0.1924 0.5000 0.2983 [4 per cell]